Diffraction record for KVCrO6. The XRD peak list is theoretical, not measured: it uses a cell relaxed with GGA+U and Cu Ka.

Cell and atoms:
a = 5.0177 Å, b = 5.0177 Å, c = 6.0215 Å
α = 90.00°, β = 90.00°, γ = 120.00°
Fractional coordinates of all 9 atoms:
K  0.0000  0.0000  0.0000
V  0.3333  0.6667  0.4360
Cr  0.6667  0.3333  0.5419
O  0.3907  0.0076  0.6667
O  0.3959  0.3866  0.3119
O  0.6134  0.0093  0.3119
O  0.6169  0.6093  0.6667
O  0.9907  0.6041  0.3119
O  0.9924  0.3831  0.6667

Principal peaks in the range 2θ from 5° to 70°, by angle:
h k l  2θ (°)  I_rel
0 0 1  14.71  64
0 1 1  25.27  100
1 1 0  35.79  18
1 0 2  36.30  11
2 -1 1  38.89  17
2 0 1  44.32  11
2 -1 2  47.15  38
0 1 3  50.06  11
3 -2 1  58.23  15
3 0 0  64.31  11